Starting from DFT lattice parameters and positions (PBE+U), the X-ray powder pattern of Li5Mn5Co2O12 was computed for Cu Kα (weighted mean of Kα1 and Kα2).

Structural model:
```
Li5Mn5Co2O12
1.0
2.6083 -4.4049 0.0000
2.6083 4.4049 0.0000
-1.5399 0.0000 9.7401
Li Mn Co O
5 5 2 12
Cartesian
0.0000 0.0000 0.0000
0.1837 0.0278 7.3733
0.8105 -1.4526 2.3256
3.4931 0.0278 2.3668
2.8662 -1.4526 7.4145
0.8204 1.4313 2.3792
1.8384 2.9675 4.8701
1.8384 -0.0067 4.8701
2.8563 1.4313 7.3609
2.6083 -1.4073 0.0000
2.6083 1.4886 0.0000
1.8384 -2.9459 4.8701
1.5950 2.9028 1.1428
-0.0421 0.0107 3.6756
1.2048 1.4783 6.0723
2.0818 2.9028 8.5973
1.7902 -0.0367 1.1459
2.4719 1.4783 3.6678
0.9745 -1.4629 5.9047
1.8865 -0.0367 8.5942
1.7924 -2.8178 1.1724
2.7022 -1.4629 3.8354
3.7188 0.0107 6.0645
1.8843 -2.8178 8.5678
```

Largest 12 diffraction maxima, by angle, 10° ≤ 2θ ≤ 90°:
two_theta	Rel. int.
18.22	45.3
20.16	20.3
20.81	15.3
23.08	34.6
31.86	14.5
36.87	24.4
37.11	23.3
42.17	52.7
43.38	100.0
62.04	27.6
62.15	27.7
62.70	13.8



Starting from DFT lattice parameters and positions (PBE+U), the X-ray powder pattern of Mn2Tl3Cl3F4 was computed for Cu Kα (weighted mean of Kα1 and Kα2).

Structural model:
```
Mn2Tl3Cl3F4
1.0
-2.0986 2.5814 12.3786
2.0986 -2.5814 12.3786
2.0986 2.5814 -12.3786
Mn Tl Cl F
2 3 3 4
Cartesian
0.0000 0.0000 2.7291
0.0000 0.0000 22.0280
0.0000 0.0000 7.4881
0.0000 0.0000 12.3786
0.0000 0.0000 17.2690
0.0000 0.0000 0.0000
2.0986 0.0000 9.8181
0.0000 2.5814 2.5605
2.0986 0.0000 2.7219
0.0000 0.0000 4.8214
0.0000 0.0000 19.9358
0.0000 2.5814 9.6566
```

Largest 12 diffraction maxima, by angle, 10° ≤ 2θ ≤ 90°:
two_theta	Rel. int.
17.55	28.5
24.92	96.7
27.39	100.0
27.87	92.0
31.03	36.3
34.75	47.8
35.10	41.9
36.29	38.8
45.12	50.9
46.05	46.8
50.43	30.4
51.12	28.5



Starting from DFT lattice parameters and positions (PBE+U), the X-ray powder pattern of CaV2Pb2O7 was computed for Cu Kα (weighted mean of Kα1 and Kα2).

Structural model:
```
CaV2Pb2O7
1.0
2.7983 1.6156 7.6285
-2.7983 1.6156 7.6285
0.0000 -3.2312 7.6285
Ca V Pb O
1 2 2 7
Cartesian
0.0000 0.0000 0.0000
0.0000 0.0000 9.6091
0.0000 0.0000 13.2763
0.0000 0.0000 4.8988
0.0000 0.0000 17.9866
-0.8785 -1.5113 9.1266
-0.8696 -1.5165 13.7588
-0.8696 1.5165 9.1266
0.0000 0.0000 11.4427
-0.8785 1.5113 13.7588
1.7481 -0.0051 9.1266
1.7481 0.0051 13.7588
```

Largest 12 diffraction maxima, by angle, 10° ≤ 2θ ≤ 90°:
two_theta	Rel. int.
11.60	35.6
19.89	50.7
24.06	37.8
26.79	100.0
31.98	74.9
33.05	20.4
34.13	29.6
42.19	27.4
43.74	14.5
48.37	35.3
53.91	27.8
57.00	21.4